Entry 1:
Starting from a DFT-relaxed cell (PBE, Alexandria), the XRD peak list of Tb2Pm6NdSm was calculated for a wavelength of 1.5418 Å.
Intensities are scaled so that the largest is 100.

Principal peaks in the range 2θ = 15–90°, sorted by position:
2θ = 27.5°, I = 16
2θ = 28.1°, I = 40
2θ = 30.0°, I = 100
2θ = 30.4°, I = 13
2θ = 30.8°, I = 40
2θ = 31.0°, I = 98
2θ = 31.8°, I = 26
2θ = 33.2°, I = 40
2θ = 33.8°, I = 15
2θ = 55.3°, I = 13

Structure:
Lattice parameters (Å, degrees): 8.9471 8.9471 9.7727 94.08 94.08 117.72
Positions (direct):
Tb  0.1962  0.2949  0.0454
Tb  0.2949  0.1962  0.5454
Tb  0.7051  0.8038  0.4546
Tb  0.8038  0.7051  0.9546
Pm  0.0186  0.5676  0.1832
Pm  0.1146  0.7550  0.5556
Pm  0.2450  0.8854  0.9444
Pm  0.2941  0.5088  0.3797
Pm  0.4324  0.9814  0.3168
Pm  0.4912  0.7059  0.1203
Pm  0.5088  0.2941  0.8797
Pm  0.5676  0.0186  0.6832
Pm  0.7059  0.4912  0.6203
Pm  0.7550  0.1146  0.0556
Pm  0.8854  0.2450  0.4444
Pm  0.9814  0.4324  0.8168
Nd  0.4069  0.5931  0.7500
Nd  0.5931  0.4069  0.2500
Sm  0.0272  0.9728  0.2500
Sm  0.9728  0.0272  0.7500

***

Entry 2:
Starting from a DFT-relaxed cell (PBE, Alexandria), the XRD peak list of TbPmNd6Sm2 was calculated for a wavelength of 1.5418 Å.
Intensities are scaled so that the largest is 100.

Principal peaks in the range 2θ = 15–90°, sorted by position:
2θ = 27.2°, I = 24
2θ = 28.0°, I = 60
2θ = 29.8°, I = 67
2θ = 29.9°, I = 85
2θ = 30.6°, I = 68
2θ = 30.8°, I = 59
2θ = 31.0°, I = 100
2θ = 31.5°, I = 36
2θ = 32.8°, I = 82
2θ = 59.4°, I = 28

Structure:
Lattice parameters (Å, degrees): 8.9910 8.9910 9.8882 94.47 94.47 118.07
Positions (direct):
Tb  0.0231  0.9769  0.7500
Tb  0.9769  0.0231  0.2500
Pm  0.4066  0.5934  0.2500
Pm  0.5934  0.4066  0.7500
Nd  0.0185  0.5715  0.6865
Nd  0.1170  0.7535  0.0550
Nd  0.2465  0.8830  0.4450
Nd  0.2940  0.5027  0.8796
Nd  0.4285  0.9815  0.8135
Nd  0.4973  0.7060  0.6204
Nd  0.5027  0.2940  0.3796
Nd  0.5715  0.0185  0.1865
Nd  0.7060  0.4973  0.1204
Nd  0.7535  0.1170  0.5550
Nd  0.8830  0.2465  0.9450
Nd  0.9815  0.4285  0.3135
Sm  0.1929  0.2922  0.5434
Sm  0.2922  0.1929  0.0434
Sm  0.7078  0.8071  0.9566
Sm  0.8071  0.7078  0.4566

***

Entry 3:
Starting from a DFT-relaxed cell (PBE, Alexandria), the XRD peak list of Pm2Nd4SmTh was calculated for a wavelength of 1.5418 Å.
Intensities are scaled so that the largest is 100.

Principal peaks in the range 2θ = 15–90°, sorted by position:
2θ = 29.9°, I = 100
2θ = 34.7°, I = 51
2θ = 49.9°, I = 24
2θ = 50.0°, I = 12
2θ = 59.3°, I = 25
2θ = 59.4°, I = 18
2θ = 62.3°, I = 9
2θ = 81.0°, I = 6
2θ = 81.2°, I = 12
2θ = 83.7°, I = 8

Structure:
Lattice parameters (Å, degrees): 6.3220 3.6534 12.1429 90.00 100.09 90.00
Positions (direct):
Pm  0.0000  0.0000  0.0000
Pm  0.0000  0.5000  0.5000
Nd  0.2522  0.0000  0.7482
Nd  0.2574  0.5000  0.2542
Nd  0.7426  0.5000  0.7458
Nd  0.7478  0.0000  0.2518
Sm  0.5000  0.5000  0.0000
Th  0.5000  0.0000  0.5000

***

Entry 4:
Starting from a DFT-relaxed cell (PBE, Alexandria), the XRD peak list of PmNd2Sm4Th was calculated for a wavelength of 1.5418 Å.
Intensities are scaled so that the largest is 100.

Principal peaks in the range 2θ = 15–90°, sorted by position:
2θ = 30.1°, I = 100
2θ = 34.8°, I = 34
2θ = 35.0°, I = 17
2θ = 50.1°, I = 24
2θ = 50.2°, I = 12
2θ = 59.5°, I = 22
2θ = 59.7°, I = 18
2θ = 62.5°, I = 9
2θ = 81.5°, I = 7
2θ = 84.0°, I = 6

Structure:
Lattice parameters (Å, degrees): 6.3011 3.6436 12.0490 90.00 100.24 90.00
Positions (direct):
Pm  0.0000  0.0000  0.0000
Nd  0.5000  0.0000  0.5000
Nd  0.5000  0.5000  0.0000
Sm  0.2425  0.0000  0.7450
Sm  0.2469  0.5000  0.2517
Sm  0.7531  0.5000  0.7483
Sm  0.7575  0.0000  0.2550
Th  0.0000  0.5000  0.5000

***

Entry 5:
Starting from a DFT-relaxed cell (PBE, Alexandria), the XRD peak list of PmNdSmTh was calculated for a wavelength of 1.5418 Å.
Intensities are scaled so that the largest is 100.

Principal peaks in the range 2θ = 15–90°, sorted by position:
2θ = 30.1°, I = 100
2θ = 34.6°, I = 17
2θ = 35.1°, I = 34
2θ = 50.1°, I = 24
2θ = 50.4°, I = 12
2θ = 59.2°, I = 14
2θ = 59.9°, I = 29
2θ = 62.6°, I = 12
2θ = 81.5°, I = 11
2θ = 82.0°, I = 6

Structure:
Lattice parameters (Å, degrees): 3.6199 3.6199 10.3699 90.00 90.00 90.00
Positions (direct):
Pm  0.0000  0.0000  0.0000
Nd  0.5000  0.5000  0.7370
Sm  0.0000  0.0000  0.4761
Th  0.5000  0.5000  0.2386

***

Entry 6:
Starting from a DFT-relaxed cell (PBE, Alexandria), the XRD peak list of Pm2Nd4SmTl2 was calculated for a wavelength of 1.5418 Å.
Intensities are scaled so that the largest is 100.

Principal peaks in the range 2θ = 15–90°, sorted by position:
2θ = 27.8°, I = 21
2θ = 28.8°, I = 7
2θ = 31.3°, I = 35
2θ = 31.5°, I = 41
2θ = 32.0°, I = 39
2θ = 33.0°, I = 100
2θ = 44.2°, I = 11
2θ = 45.7°, I = 10
2θ = 49.1°, I = 12
2θ = 58.7°, I = 11

Structure:
Lattice parameters (Å, degrees): 6.5646 6.7825 8.3910 66.43 78.83 61.92
Positions (direct):
Pm  0.1694  0.0247  0.3151
Pm  0.8306  0.9753  0.6849
Nd  0.3066  0.9820  0.8756
Nd  0.4121  0.5302  0.7174
Nd  0.5879  0.4698  0.2826
Nd  0.6934  0.0180  0.1244
Sm  0.0000  0.5000  0.5000
Tl  0.1482  0.5479  0.0922
Tl  0.8518  0.4521  0.9078